The following is a computed powder diffraction line list of SmHo2Mg2. It was derived from a structure optimized by DFT (GGA-PBE), using λ = 1.5418 Å (Cu Kα).

Most intense lines, 10 to 90 degrees two-theta, in order of rising 2θ:
2θ (°)  d [Å]  I/Imax
20.66  4.300  143
24.04  3.702  201
25.16  3.539  290
32.11  2.787  225
32.78  2.732  276
33.20  2.698  1000
41.06  2.198  100
46.54  1.951  161
55.22  1.664  126
57.94  1.592  120
58.78  1.571  194
69.68  1.349  119

Structure:
```
data_SmHo2Mg2
_cell_length_a 3.735
_cell_length_b 27.874
_cell_length_c 5.464
_cell_angle_alpha 90.00
_cell_angle_beta 90.00
_cell_angle_gamma 90.00
_symmetry_space_group_name_H-M 'C m c m'
_symmetry_Int_Tables_number 63
_symmetry_space_group_name_Hall '-C 2c 2'
loop_
_atom_site_label
_atom_site_fract_x
_atom_site_fract_y
_atom_site_fract_z
_atom_site_occupancy
Sm1 0.000 0.151 0.250 1
Ho1 0.000 0.044 0.750 1
Ho2 0.000 0.237 0.750 1
Mg1 0.000 0.360 0.250 1
Mg2 0.000 0.448 0.750 1
```